Diffraction record for Y2AlZnPd6. The powder diffractogram is simulated, not measured: it uses a GGA-PBE-relaxed structure and a wavelength of 1.5418 Å.
Lines closer than 0.1° are merged.

Most intense lines, 2θ = 10–90°, low angle first:
Position (°2θ)	d (Å)	I (rel.)
11.8	7.511	28
19.8	4.475	24
23.7	3.756	57
37.8	2.383	88
40.0	2.253	34
40.3	2.238	100
44.3	2.046	26
66.4	1.408	28

Atomic structure:
Lattice parameters (Å, degrees): 5.6326 5.6326 8.1916 110.22 110.22 59.92
Atoms (fractional coordinates):
Y 0.2053 0.2053 0.1156
Y 0.7947 0.7947 0.8844
Al 0.0000 0.0000 0.5000
Zn 0.5000 0.5000 0.0000
Pd 0.2483 0.2483 0.7479
Pd 0.2487 0.7482 0.7465
Pd 0.2518 0.7513 0.2535
Pd 0.7482 0.2487 0.7465
Pd 0.7513 0.2518 0.2535
Pd 0.7517 0.7517 0.2521